[1]
Computed PXRD pattern of Zr5Mo for CuKα, from a cell relaxed with GGA-PBE.

The 10 most intense peaks (2θ from 10° to 80°), in order of rising 2θ:
2θ = 30.85°, I 4; 2θ = 35.37°, I 100; 2θ = 38.21°, I 49; 2θ = 40.96°, I 5; 2θ = 46.36°, I 8; 2θ = 55.15°, I 20; 2θ = 61.58°, I 13; 2θ = 67.23°, I 29; 2θ = 69.99°, I 5; 2θ = 74.83°, I 7

Atomic structure:
```
Zr5Mo
1.0
3.331 0.000 0.000
0.000 3.331 0.000
0.000 0.000 11.752
Zr Mo
5 1
direct
0.000 0.000 0.000
0.000 0.000 0.362
0.000 0.000 0.638
0.500 0.500 0.181
0.500 0.500 0.819
0.500 0.500 0.500
```

=====

[2]
Computed PXRD pattern of ScTa2Os2 for CuKα, from a cell relaxed with GGA-PBE.

The 10 most intense peaks (2θ from 10° to 80°), in order of rising 2θ:
2θ = 20.94°, I 10; 2θ = 38.98°, I 25; 2θ = 39.51°, I 26; 2θ = 39.62°, I 100; 2θ = 56.71°, I 17; 2θ = 57.86°, I 8; 2θ = 71.03°, I 16; 2θ = 71.74°, I 18; 2θ = 71.98°, I 8; 2θ = 72.33°, I 9

Atomic structure:
```
ScTa2Os2
1.0
1.594 -11.554 0.000
1.594 11.554 0.000
0.000 0.000 4.562
Sc Ta Os
2 4 4
direct
0.147 0.853 0.750
0.853 0.147 0.250
0.050 0.950 0.250
0.244 0.756 0.250
0.756 0.244 0.750
0.950 0.050 0.750
0.354 0.646 0.750
0.455 0.545 0.250
0.545 0.455 0.750
0.646 0.354 0.250
```

=====

[3]
Computed PXRD pattern of Pr2Nd3Tm6 for CuKα, from a cell relaxed with GGA-PBE.

The 10 most intense peaks (2θ from 10° to 80°), in order of rising 2θ:
2θ = 30.84°, I 100; 2θ = 31.15°, I 32; 2θ = 35.85°, I 67; 2θ = 51.41°, I 24; 2θ = 51.80°, I 23; 2θ = 61.16°, I 14; 2θ = 61.34°, I 28; 2θ = 61.69°, I 14; 2θ = 64.26°, I 12; 2θ = 75.99°, I 8

Atomic structure:
```
Pr2Nd3Tm6
1.0
3.077 -5.336 0.000
3.077 5.336 0.000
-2.058 0.000 11.487
Pr Nd Tm
2 3 6
direct
0.167 0.833 0.000
0.833 0.167 0.000
0.000 0.000 0.500
0.336 0.664 0.500
0.664 0.336 0.500
0.084 0.416 0.750
0.251 0.251 0.251
0.416 0.084 0.750
0.584 0.916 0.250
0.749 0.749 0.749
0.916 0.584 0.250
```

=====

[4]
Computed PXRD pattern of Pm2NdCu2 for CuKα, from a cell relaxed with GGA-PBE.

The 10 most intense peaks (2θ from 10° to 80°), in order of rising 2θ:
2θ = 27.90°, I 55; 2θ = 29.26°, I 100; 2θ = 30.77°, I 63; 2θ = 31.95°, I 33; 2θ = 32.13°, I 26; 2θ = 35.70°, I 27; 2θ = 35.92°, I 23; 2θ = 38.01°, I 55; 2θ = 42.39°, I 22; 2θ = 58.22°, I 18

Atomic structure:
```
Pm2NdCu2
1.0
5.050 0.000 0.000
0.000 4.735 0.000
-1.544 0.000 11.044
Pm Nd Cu
4 2 4
direct
0.151 0.250 0.116
0.254 0.750 0.509
0.746 0.250 0.491
0.849 0.750 0.884
0.308 0.250 0.756
0.692 0.750 0.244
0.208 0.250 0.364
0.387 0.750 0.997
0.613 0.250 0.003
0.792 0.750 0.636
```

=====

[5]
Computed PXRD pattern of La3Ga3Cu8 for CuKα, from a cell relaxed with GGA-PBE.

The 10 most intense peaks (2θ from 10° to 80°), in order of rising 2θ:
2θ = 29.21°, I 21; 2θ = 34.13°, I 25; 2θ = 35.46°, I 100; 2θ = 36.06°, I 26; 2θ = 36.36°, I 69; 2θ = 39.00°, I 26; 2θ = 40.63°, I 19; 2θ = 41.61°, I 48; 2θ = 41.95°, I 19; 2θ = 71.93°, I 14

Atomic structure:
```
La3Ga3Cu8
1.0
-2.171 4.514 6.461
2.171 -4.514 6.461
2.171 4.514 -6.461
La Ga Cu
3 3 8
direct
0.000 0.000 0.000
0.298 0.298 0.000
0.702 0.702 0.000
0.288 0.500 0.788
0.500 0.000 0.500
0.712 0.500 0.212
0.021 0.666 0.355
0.154 0.869 0.285
0.311 0.666 0.645
0.416 0.131 0.285
0.584 0.869 0.715
0.689 0.334 0.355
0.846 0.131 0.715
0.979 0.334 0.645
```

=====

[6]
Computed PXRD pattern of Ac8PRu3I4 for CuKα, from a cell relaxed with GGA-PBE.

The 10 most intense peaks (2θ from 10° to 80°), in order of rising 2θ:
2θ = 10.36°, I 16; 2θ = 24.28°, I 16; 2θ = 27.15°, I 100; 2θ = 29.13°, I 25; 2θ = 33.90°, I 17; 2θ = 36.59°, I 22; 2θ = 40.86°, I 41; 2θ = 49.75°, I 19; 2θ = 52.44°, I 20; 2θ = 66.27°, I 16

Atomic structure:
```
Ac8PRu3I4
1.0
4.417 2.550 8.540
-4.417 2.550 8.540
0.000 -5.101 8.540
Ac P Ru I
8 1 3 4
direct
0.215 0.733 0.733
0.231 0.231 0.231
0.267 0.267 0.785
0.267 0.785 0.267
0.733 0.215 0.733
0.733 0.733 0.215
0.769 0.769 0.769
0.785 0.267 0.267
0.500 0.500 0.500
0.000 0.000 0.500
0.000 0.500 0.000
0.500 0.000 0.000
0.000 0.000 0.000
0.000 0.500 0.500
0.500 0.000 0.500
0.500 0.500 0.000
```

=====

[7]
Computed PXRD pattern of SnH2PbCl8 for CuKα, from a cell relaxed with GGA-PBE.

The 10 most intense peaks (2θ from 10° to 80°), in order of rising 2θ:
2θ = 12.47°, I 99; 2θ = 12.91°, I 100; 2θ = 17.61°, I 51; 2θ = 18.35°, I 33; 2θ = 22.02°, I 19; 2θ = 27.51°, I 27; 2θ = 28.79°, I 30; 2θ = 29.15°, I 33; 2θ = 35.09°, I 22; 2θ = 46.86°, I 21

Atomic structure:
```
SnH2PbCl8
1.0
6.873 0.000 0.000
0.298 7.101 0.000
0.493 0.159 8.074
Sn H Pb Cl
1 2 1 8
direct
0.000 0.000 0.000
0.246 0.685 0.264
0.754 0.315 0.736
0.000 0.000 0.500
0.187 0.167 0.204
0.218 0.720 0.024
0.222 0.122 0.769
0.264 0.662 0.429
0.736 0.338 0.571
0.778 0.878 0.231
0.782 0.280 0.976
0.813 0.833 0.796
```

=====

[8]
Computed PXRD pattern of Tb3PmDy2Tm6 for CuKα, from a cell relaxed with GGA-PBE.

The 10 most intense peaks (2θ from 10° to 80°), in order of rising 2θ:
2θ = 31.05°, I 100; 2θ = 31.18°, I 33; 2θ = 36.04°, I 67; 2θ = 51.80°, I 24; 2θ = 51.98°, I 24; 2θ = 61.65°, I 24; 2θ = 61.73°, I 19; 2θ = 61.87°, I 14; 2θ = 64.73°, I 12; 2θ = 76.45°, I 8

Atomic structure:
```
Tb3PmDy2Tm6
1.0
3.058 -5.292 0.000
3.058 5.292 0.000
-2.030 0.000 11.474
Tb Pm Dy Tm
3 1 2 6
direct
0.000 0.000 0.000
0.333 0.667 0.000
0.667 0.333 0.000
0.500 0.500 0.500
0.167 0.833 0.500
0.833 0.167 0.500
0.083 0.416 0.249
0.250 0.250 0.750
0.416 0.083 0.249
0.584 0.917 0.751
0.750 0.750 0.250
0.917 0.584 0.751
```

=====

[9]
Computed PXRD pattern of AgCO for CuKα, from a cell relaxed with GGA-PBE.

The 10 most intense peaks (2θ from 10° to 80°), in order of rising 2θ:
2θ = 13.21°, I 71; 2θ = 26.31°, I 99; 2θ = 35.21°, I 88; 2θ = 37.14°, I 89; 2θ = 39.38°, I 100; 2θ = 40.38°, I 20; 2θ = 46.26°, I 46; 2θ = 60.74°, I 34; 2θ = 62.91°, I 32; 2θ = 75.89°, I 23

Atomic structure:
```
AgCO
1.0
2.880 0.000 0.000
0.000 13.402 0.000
0.000 0.000 3.926
Ag C O
4 4 4
direct
0.000 0.181 0.000
0.000 0.819 0.500
0.500 0.319 0.500
0.500 0.681 0.000
0.000 0.446 0.615
0.000 0.554 0.115
0.500 0.054 0.115
0.500 0.946 0.615
0.000 0.463 0.957
0.000 0.537 0.457
0.500 0.037 0.457
0.500 0.963 0.957
```

=====

[10]
Computed PXRD pattern of TmGa6 for CuKα, from a cell relaxed with GGA-PBE.

The 10 most intense peaks (2θ from 10° to 80°), in order of rising 2θ:
2θ = 31.84°, I 41; 2θ = 32.30°, I 100; 2θ = 35.72°, I 51; 2θ = 41.48°, I 35; 2θ = 41.84°, I 57; 2θ = 42.91°, I 32; 2θ = 49.87°, I 18; 2θ = 54.42°, I 28; 2θ = 70.67°, I 35; 2θ = 77.89°, I 25

Atomic structure:
```
TmGa6
1.0
5.961 0.000 0.000
0.000 5.961 0.000
0.000 0.000 7.542
Tm Ga
2 12
direct
0.250 0.750 0.000
0.750 0.250 0.000
0.076 0.576 0.353
0.076 0.924 0.647
0.250 0.250 0.162
0.250 0.250 0.838
0.424 0.576 0.647
0.424 0.924 0.353
0.576 0.076 0.647
0.576 0.424 0.353
0.750 0.750 0.162
0.750 0.750 0.838
0.924 0.076 0.353
0.924 0.424 0.647
```

=====

[11]
Computed PXRD pattern of Li4Ag3 for CuKα, from a cell relaxed with GGA-PBE.

The 10 most intense peaks (2θ from 10° to 80°), in order of rising 2θ:
2θ = 24.24°, I 79; 2θ = 25.91°, I 38; 2θ = 30.65°, I 43; 2θ = 34.78°, I 13; 2θ = 38.94°, I 100; 2θ = 43.43°, I 36; 2θ = 47.37°, I 28; 2θ = 53.20°, I 15; 2θ = 67.36°, I 18; 2θ = 76.69°, I 28

Atomic structure:
```
Li4Ag3
1.0
2.946 0.000 0.000
0.000 3.732 0.000
0.000 0.000 20.635
Li Ag
8 6
direct
0.000 0.000 0.072
0.000 0.000 0.213
0.000 0.000 0.787
0.000 0.000 0.928
0.500 0.500 0.287
0.500 0.500 0.428
0.500 0.500 0.572
0.500 0.500 0.713
0.000 0.000 0.355
0.000 0.000 0.500
0.000 0.000 0.645
0.500 0.500 0.000
0.500 0.500 0.145
0.500 0.500 0.855
```